YAlZn3Cu: theoretical X-ray diffraction stick pattern (Cu Kα), based on a cell relaxed with PBE.
Kinematic intensities with the Lorentz-polarization factor, no thermal factor.

Structural model:
Cell: 6.208 12.534 5.674 Å, 90.00 90.00 90.00°
Space group Cmcm (No. 63)
Unique sites:
Y 0.000 0.201 0.250 x4
Al 0.000 0.428 0.250 x4
Zn 0.000 0.356 0.750 x4
Zn 0.195 0.000 0.000 x8
Cu 0.000 0.150 0.750 x4

Principal peaks in the range 2θ = 10–90°, in order of falling intensity:
two_theta, I_rel
43.20, 100
34.71, 78
32.18, 71
43.01, 43
42.00, 42
40.93, 37


Cs3TlAg2Cl6: theoretical X-ray diffraction stick pattern (Cu Kα), based on a cell relaxed with PBE.
Kinematic intensities with the Lorentz-polarization factor, no thermal factor.

Structural model:
Cell: 8.3443 8.3443 9.0780 Å, 90.00 90.00 120.00°
Space group P-3m1 (No. 164)
Unique sites:
Cs 0.0000 0.0000 0.0000 x1
Cs 0.3333 0.6667 0.6502 x2
Tl 0.0000 0.0000 0.5000 x1
Ag 0.3333 0.6667 0.2407 x2
Cl 0.1640 0.3279 0.2774 x6

Principal peaks in the range 2θ = 10–90°, in order of falling intensity:
two_theta, I_rel
21.30, 100
23.14, 72
31.65, 59
38.47, 41
43.38, 29
37.33, 24


Ba3SrCu4O12: theoretical X-ray diffraction stick pattern (Cu Kα), based on a cell relaxed with PBE.
Kinematic intensities with the Lorentz-polarization factor, no thermal factor.

Structural model:
Cell: 7.971 7.971 3.981 Å, 90.00 90.00 90.00°
Space group P4/mmm (No. 123)
Unique sites:
Ba 0.000 0.000 0.000 x1
Ba 0.000 0.500 0.000 x2
Sr 0.500 0.500 0.000 x1
Cu 0.250 0.250 0.500 x4
O 0.000 0.252 0.500 x4
O 0.258 0.258 0.000 x4
O 0.263 0.500 0.500 x4

Principal peaks in the range 2θ = 10–90°, in order of falling intensity:
two_theta, I_rel
31.77, 100
56.59, 39
45.54, 33
66.37, 20
75.46, 16
39.17, 12


Pm15Sm4Al: theoretical X-ray diffraction stick pattern (Cu Kα), based on a cell relaxed with PBE.
Kinematic intensities with the Lorentz-polarization factor, no thermal factor.

Structural model:
Cell: 5.080 5.080 25.710 Å, 90.00 90.00 90.00°
Space group P4/mmm (No. 123)
Unique sites:
Pm 0.000 0.000 0.000 x1
Pm 0.000 0.000 0.194 x2
Pm 0.000 0.000 0.398 x2
Pm 0.000 0.500 0.093 x4
Pm 0.000 0.500 0.296 x4
Pm 0.000 0.500 0.500 x2
Sm 0.500 0.500 0.195 x2
Sm 0.500 0.500 0.399 x2
Al 0.500 0.500 0.000 x1

Principal peaks in the range 2θ = 10–90°, in order of falling intensity:
two_theta, I_rel
30.35, 100
35.34, 34
60.37, 28
50.51, 23
34.90, 16
59.78, 12


Ta2Al: theoretical X-ray diffraction stick pattern (Cu Kα), based on a cell relaxed with PBE.
Kinematic intensities with the Lorentz-polarization factor, no thermal factor.

Structural model:
Cell: 9.944 9.944 5.214 Å, 90.00 90.00 90.00°
Space group P4_2/mnm (No. 136)
Unique sites:
Ta 0.036 0.371 0.000 x8
Ta 0.102 0.102 0.000 x4
Ta 0.182 0.818 0.248 x8
Al 0.000 0.000 0.500 x2
Al 0.066 0.263 0.500 x8

Principal peaks in the range 2θ = 10–90°, in order of falling intensity:
two_theta, I_rel
37.28, 100
41.24, 95
40.10, 91
39.01, 65
38.41, 59
19.22, 49


Ac3In2Hg3: theoretical X-ray diffraction stick pattern (Cu Kα), based on a cell relaxed with PBE.
Kinematic intensities with the Lorentz-polarization factor, no thermal factor.

Structural model:
Cell: 4.969 12.095 16.624 Å, 90.00 90.00 90.00°
Space group Cmcm (No. 63)
Unique sites:
Ac 0.000 0.086 0.106 x8
Ac 0.000 0.366 0.250 x4
In 0.000 0.207 0.604 x8
Hg 0.000 0.357 0.750 x4
Hg 0.000 0.383 0.036 x8

Principal peaks in the range 2θ = 10–90°, in order of falling intensity:
two_theta, I_rel
28.98, 100
32.86, 38
36.16, 33
35.91, 28
29.54, 22
59.07, 15


SnGePt: theoretical X-ray diffraction stick pattern (Cu Kα), based on a cell relaxed with PBE.
Kinematic intensities with the Lorentz-polarization factor, no thermal factor.

Structural model:
Cell: 3.6258 3.6258 5.5988 Å, 90.00 90.00 120.00°
Space group P3m1 (No. 156)
Unique sites:
Sn 0.0000 0.0000 0.0000 x1
Ge 0.6667 0.3333 0.4188 x1
Pt 0.3333 0.6667 0.6712 x1

Principal peaks in the range 2θ = 10–90°, in order of falling intensity:
two_theta, I_rel
32.70, 100
43.30, 48
50.33, 30
15.83, 23
61.32, 17
83.21, 15


LiCu4P3O12: theoretical X-ray diffraction stick pattern (Cu Kα), based on a cell relaxed with PBE.
Kinematic intensities with the Lorentz-polarization factor, no thermal factor.

Structural model:
Cell: 7.339 7.719 9.680 Å, 110.68 111.26 91.33°
Space group P-1 (No. 2)
Unique sites:
Li 0.104 0.356 0.052 x2
Cu 0.221 0.571 0.552 x2
Cu 0.233 0.977 0.584 x2
Cu 0.246 0.957 0.226 x2
Cu 0.498 0.711 0.037 x2
P 0.104 0.369 0.753 x2
P 0.186 0.952 0.887 x2
P 0.496 0.263 0.581 x2
O 0.031 0.594 0.156 x2
O 0.040 0.094 0.164 x2
O 0.052 0.475 0.634 x2
O 0.073 0.157 0.651 x2
O 0.253 0.870 0.746 x2
O 0.271 0.166 0.980 x2
O 0.275 0.848 0.006 x2
O 0.307 0.108 0.458 x2
O 0.327 0.446 0.874 x2
O 0.349 0.754 0.498 x2
O 0.428 0.788 0.268 x2
O 0.455 0.464 0.628 x2

Principal peaks in the range 2θ = 10–90°, in order of falling intensity:
two_theta, I_rel
29.60, 100
13.22, 68
31.31, 63
33.32, 62
29.38, 61
30.98, 57


Mn4GaN: theoretical X-ray diffraction stick pattern (Cu Kα), based on a cell relaxed with PBE.
Kinematic intensities with the Lorentz-polarization factor, no thermal factor.

Structural model:
Cell: 5.079 8.641 6.236 Å, 90.00 100.79 90.00°
Space group C2/c (No. 15)
Unique sites:
Mn 0.101 0.133 0.462 x8
Mn 0.160 0.375 0.139 x8
Ga 0.000 0.354 0.750 x4
N 0.000 0.035 0.750 x4

Principal peaks in the range 2θ = 10–90°, in order of falling intensity:
two_theta, I_rel
42.03, 100
38.69, 53
41.82, 51
45.98, 48
49.22, 46
55.43, 19